This entry pairs a crystal structure of Tl2In9Hg4 with its theoretical X-ray diffraction stick pattern. Radiation: λ = 1.5418 Å (Cu Kα). Structure: a DFT-relaxed cell (PBE, Alexandria).

Top 10 peaks for 2θ from 10° to 90°, by angle:
| (hkl) | 2θ/deg | intensity |
| --- | --- | --- |
| 1 0 3 | 24.61 | 260 |
| 0 1 4 | 27.41 | 124 |
| 0 1 5 | 30.67 | 733 |
| 1 0 6 | 34.28 | 365 |
| 1 1 0 | 35.86 | 1000 |
| 2 0 5 | 47.89 | 214 |
| 0 2 6 | 50.45 | 120 |
| 1 2 5 | 61.25 | 204 |
| 2 1 6 | 63.43 | 119 |
| 3 0 0 | 64.44 | 180 |

Atomic structure:
Cell: 5.0086 5.0086 19.6777 Å, 90.00 90.00 120.00°
Space group P-3m1 (No. 164)
Symmetry-distinct sites (fractional):
Tl (0.3333, 0.6667, 0.2622) (multiplicity 2)
In (0.0000, 0.0000, 0.0000) (multiplicity 1)
In (0.0000, 0.0000, 0.1785) (multiplicity 2)
In (0.0000, 0.0000, 0.3457) (multiplicity 2)
In (0.3333, 0.6667, 0.0647) (multiplicity 2)
In (0.3333, 0.6667, 0.4474) (multiplicity 2)
Hg (0.3333, 0.6667, 0.6047) (multiplicity 2)
Hg (0.3333, 0.6667, 0.8615) (multiplicity 2)


This entry pairs a crystal structure of LaVN3 with its theoretical X-ray diffraction stick pattern. Radiation: λ = 1.5418 Å (Cu Kα). Structure: a DFT-relaxed cell (PBE, Alexandria).

Top 10 peaks for 2θ from 10° to 90°, by angle:
| (hkl) | 2θ/deg | intensity |
| --- | --- | --- |
| 0 1 1 | 21.69 | 329 |
| 0 0 2 | 27.28 | 497 |
| 1 -1 0 | 27.41 | 364 |
| 1 1 -1 | 27.90 | 1000 |
| 1 0 1 | 28.90 | 544 |
| 1 0 -2 | 29.84 | 339 |
| 0 1 -2 | 31.90 | 359 |
| 0 2 0 | 33.66 | 382 |
| -1 2 1 | 40.69 | 271 |
| 2 0 -1 | 42.60 | 293 |

Atomic structure:
Cell: 4.2467 5.3265 6.8134 Å, 90.76 106.34 90.39°
Space group P1 (No. 1)
Symmetry-distinct sites (fractional):
La (0.0000, 0.0000, 0.0000) (multiplicity 1)
La (0.2486, 0.3791, 0.5816) (multiplicity 1)
V (0.6318, 0.4387, 0.1668) (multiplicity 1)
V (0.6637, 0.9241, 0.4486) (multiplicity 1)
N (0.0443, 0.4184, 0.1823) (multiplicity 1)
N (0.0880, 0.8513, 0.6396) (multiplicity 1)
N (0.3661, 0.8756, 0.5865) (multiplicity 1)
N (0.4616, 0.2579, 0.9359) (multiplicity 1)
N (0.5838, 0.7937, 0.1947) (multiplicity 1)
N (0.6679, 0.2624, 0.4187) (multiplicity 1)


This entry pairs a crystal structure of Tb12HoTl6 with its theoretical X-ray diffraction stick pattern. Radiation: λ = 1.5418 Å (Cu Kα). Structure: a DFT-relaxed cell (PBE, Alexandria).

Top 10 peaks for 2θ from 10° to 90°, by angle:
| (hkl) | 2θ/deg | intensity |
| --- | --- | --- |
| 1 1 0 | 12.55 | 414 |
| 1 1 3 | 27.02 | 414 |
| 1 3 1 | 27.51 | 1000 |
| 3 1 2 | 30.85 | 358 |
| 0 3 3 | 32.54 | 774 |
| 3 2 1 | 32.95 | 501 |
| 0 4 2 | 33.42 | 825 |
| 0 2 4 | 35.26 | 466 |
| 5 0 2 | 40.28 | 678 |
| 3 1 5 | 48.74 | 322 |

Atomic structure:
Cell: 14.1030 14.1030 11.2009 Å, 90.00 90.00 120.00°
Space group R-3m (No. 166, hexagonal axes)
Symmetry-distinct sites (fractional):
Tb (0.0000, 0.3717, 0.0000) (multiplicity 18)
Tb (0.0887, 0.1773, 0.8571) (multiplicity 18)
Ho (0.0000, 0.0000, 0.5000) (multiplicity 3)
Tl (0.0330, 0.5165, 0.7756) (multiplicity 18)


This entry pairs a crystal structure of TbNd2Sm2Y with its theoretical X-ray diffraction stick pattern. Radiation: λ = 1.5418 Å (Cu Kα). Structure: a DFT-relaxed cell (PBE, Alexandria).

Top 10 peaks for 2θ from 10° to 90°, by angle:
| (hkl) | 2θ/deg | intensity |
| --- | --- | --- |
| 2 1 1 | 30.99 | 846 |
| 0 2 0 | 31.28 | 1000 |
| 2 2 0 | 40.50 | 189 |
| 2 2 2 | 44.61 | 308 |
| 2 3 1 | 55.48 | 321 |
| 0 3 3 | 55.67 | 192 |
| 4 1 3 | 61.47 | 192 |
| 0 4 0 | 65.25 | 118 |
| 2 4 2 | 73.98 | 134 |
| 4 3 3 | 79.22 | 137 |

Atomic structure:
Cell: 7.1024 5.7181 9.9093 Å, 90.00 90.00 90.00°
Space group Pmma (No. 51)
Symmetry-distinct sites (fractional):
Tb (0.2500, 0.0000, 0.1595) (multiplicity 2)
Nd (0.0000, 0.0000, 0.5000) (multiplicity 2)
Nd (0.2500, 0.5000, 0.6756) (multiplicity 2)
Sm (0.2500, 0.0000, 0.8304) (multiplicity 2)
Sm (0.2500, 0.5000, 0.3375) (multiplicity 2)
Y (0.0000, 0.5000, 0.0000) (multiplicity 2)


This entry pairs a crystal structure of GeH3Cl with its theoretical X-ray diffraction stick pattern. Radiation: λ = 1.5418 Å (Cu Kα). Structure: a DFT-relaxed cell (PBE, Alexandria).

Top 10 peaks for 2θ from 10° to 90°, by angle:
| (hkl) | 2θ/deg | intensity |
| --- | --- | --- |
| 1 1 0 | 19.77 | 634 |
| 0 0 2 | 21.43 | 196 |
| 1 1 1 | 22.52 | 632 |
| 2 0 0 | 24.25 | 732 |
| 1 1 2 | 29.32 | 1000 |
| 0 2 2 | 38.44 | 212 |
| 2 2 1 | 41.66 | 222 |
| 3 1 2 | 45.96 | 517 |
| 1 1 4 | 48.35 | 154 |
| 4 0 0 | 49.72 | 167 |

Atomic structure:
Cell: 7.3400 5.6754 8.2935 Å, 90.00 90.00 90.00°
Space group Cmc2_1 (No. 36)
Symmetry-distinct sites (fractional):
Ge (0.0000, 0.0557, 0.0000) (multiplicity 4)
H (0.0000, 0.1828, 0.4153) (multiplicity 4)
H (0.1746, 0.1149, 0.0914) (multiplicity 8)
Cl (0.0000, 0.3138, 0.7972) (multiplicity 4)